Structure and simulated X-ray diffraction stick pattern of Li8CoO4F2 (the PBE+U geometry in Alexandria; CuKα).
No peak broadening, texture or thermal motion is included.

Peak list (8 most intense, 15 to 90 degrees two-theta, in order of rising 2θ)
d 5.317, 2θ = 16.67°, intensity 35
d 4.929, 2θ = 18.00°, intensity 72
d 4.650, 2θ = 19.09°, intensity 50
d 4.230, 2θ = 21.00°, intensity 40
d 3.853, 2θ = 23.08°, intensity 35
d 3.416, 2θ = 26.09°, intensity 51
d 2.775, 2θ = 32.25°, intensity 100
d 2.421, 2θ = 37.14°, intensity 66

Cell and atoms:
```
data_Li8CoO4F2
_cell_length_a 5.401
_cell_length_b 5.444
_cell_length_c 5.945
_cell_angle_alpha 64.28
_cell_angle_beta 74.31
_cell_angle_gamma 66.83
_space_group_name_H-M_alt 'P -1'
_space_group_IT_number 2
_space_group_name_Hall '-P 1'
loop_
_atom_site_label
_atom_site_fract_x
_atom_site_fract_y
_atom_site_fract_z
_atom_site_occupancy
Li1 0.050 0.377 0.309 1
Li2 0.280 0.164 0.923 1
Li3 0.310 0.948 0.621 1
Li4 0.347 0.714 0.366 1
Co1 0.500 0.500 0.000 1
O1 0.316 0.556 0.741 1
O2 0.391 0.099 0.236 1
F1 0.002 0.238 0.703 1
```